Entry 1:
Starting from the PBE+U geometry in the Materials Project, the X-ray diffraction stick pattern of Mg2V3O8 was computed for Cu Ka.

Atomic structure:
```
data_Mg2V3O8
_chemical_formula_sum 'Mg4 V6 O16'
_cell_length_a 5.916
_cell_length_b 5.916
_cell_length_c 9.506
_cell_angle_alpha 90.00
_cell_angle_beta 90.00
_cell_angle_gamma 120.00
_symmetry_space_group_name_H-M 'P 1'
_symmetry_Int_Tables_number 1
loop_
_symmetry_equiv_pos_as_xyz
'x,y,z'
loop_
_atom_site_label
_atom_site_type_symbol
_atom_site_fract_x
_atom_site_fract_y
_atom_site_fract_z
Mg1 Mg 0.333 0.667 0.000
Mg2 Mg 0.333 0.667 0.399
Mg3 Mg 0.667 0.333 0.500
Mg4 Mg 0.667 0.333 0.899
V1 V 0.162 0.326 0.722
V2 V 0.164 0.838 0.722
V3 V 0.326 0.162 0.222
V4 V 0.674 0.836 0.722
V5 V 0.836 0.674 0.222
V6 V 0.838 0.164 0.222
O1 O 0.000 0.000 0.331
O2 O 0.000 0.000 0.831
O3 O 0.037 0.532 0.843
O4 O 0.148 0.327 0.123
O5 O 0.178 0.852 0.123
O6 O 0.327 0.148 0.623
O7 O 0.333 0.667 0.610
O8 O 0.468 0.506 0.843
O9 O 0.494 0.963 0.843
O10 O 0.506 0.468 0.343
O11 O 0.532 0.037 0.343
O12 O 0.667 0.333 0.110
O13 O 0.673 0.822 0.123
O14 O 0.822 0.673 0.623
O15 O 0.852 0.178 0.623
O16 O 0.963 0.494 0.343
```

Principal peaks in the range 10° ≤ 2θ ≤ 80°, by intensity:
2θ (°)	Rel. int.
18.67	100
36.32	57
60.66	48
35.75	47
45.54	47
39.98	44
62.83	43
25.57	41

***

Entry 2:
Starting from the PBE+U geometry in the Materials Project, the X-ray diffraction stick pattern of MgVO2 was computed for Cu Ka.

Atomic structure:
```
data_MgVO2
_chemical_formula_sum 'Mg1 V1 O2'
_cell_length_a 5.594
_cell_length_b 5.594
_cell_length_c 5.594
_cell_angle_alpha 31.44
_cell_angle_beta 31.44
_cell_angle_gamma 31.44
_symmetry_space_group_name_H-M 'P 1'
_symmetry_Int_Tables_number 1
loop_
_symmetry_equiv_pos_as_xyz
'x,y,z'
loop_
_atom_site_label
_atom_site_type_symbol
_atom_site_fract_x
_atom_site_fract_y
_atom_site_fract_z
Mg1 Mg 0.000 0.000 0.000
V1 V 0.170 0.170 0.170
O1 O 0.588 0.588 0.588
O2 O 0.752 0.752 0.752
```

Principal peaks in the range 10° ≤ 2θ ≤ 80°, by intensity:
2θ (°)	Rel. int.
44.72	100
36.02	72
53.25	51
61.15	44
34.63	39
16.68	31
41.18	16
33.74	16

***

Entry 3:
Starting from the PBE+U geometry in the Materials Project, the X-ray diffraction stick pattern of MgV5O12 was computed for Cu Ka.

Atomic structure:
```
data_MgV5O12
_chemical_formula_sum 'Mg1 V5 O12'
_cell_length_a 5.086
_cell_length_b 5.501
_cell_length_c 7.248
_cell_angle_alpha 95.45
_cell_angle_beta 90.22
_cell_angle_gamma 92.16
_symmetry_space_group_name_H-M 'P 1'
_symmetry_Int_Tables_number 1
loop_
_symmetry_equiv_pos_as_xyz
'x,y,z'
loop_
_atom_site_label
_atom_site_type_symbol
_atom_site_fract_x
_atom_site_fract_y
_atom_site_fract_z
Mg1 Mg 0.000 0.000 0.000
V1 V 0.007 0.441 0.794
V2 V 0.471 0.892 0.285
V3 V 0.505 0.907 0.790
V4 V 0.953 0.433 0.281
V5 V 0.990 0.019 0.496
O1 O 0.090 0.376 0.053
O2 O 0.152 0.704 0.375
O3 O 0.171 0.054 0.735
O4 O 0.272 0.161 0.374
O5 O 0.298 0.576 0.747
O6 O 0.365 0.884 0.050
O7 O 0.650 0.882 0.533
O8 O 0.678 0.571 0.237
O9 O 0.698 0.164 0.857
O10 O 0.809 0.077 0.246
O11 O 0.816 0.691 0.859
O12 O 0.888 0.357 0.554
```

Principal peaks in the range 10° ≤ 2θ ≤ 80°, by intensity:
2θ (°)	Rel. int.
23.43	100
24.35	96
24.68	86
35.33	77
33.20	66
32.73	64
17.45	62
33.68	61

***

Entry 4:
Starting from the PBE+U geometry in the Materials Project, the X-ray diffraction stick pattern of Mg9V10O24 was computed for Cu Ka.

Atomic structure:
```
data_Mg9V10O24
_chemical_formula_sum 'Mg9 V10 O24'
_cell_length_a 6.000
_cell_length_b 6.000
_cell_length_c 15.303
_cell_angle_alpha 90.49
_cell_angle_beta 90.49
_cell_angle_gamma 59.88
_symmetry_space_group_name_H-M 'P 1'
_symmetry_Int_Tables_number 1
loop_
_symmetry_equiv_pos_as_xyz
'x,y,z'
loop_
_atom_site_label
_atom_site_type_symbol
_atom_site_fract_x
_atom_site_fract_y
_atom_site_fract_z
Mg1 Mg 0.000 0.000 0.000
Mg2 Mg 0.000 0.500 0.000
Mg3 Mg 0.005 0.005 0.153
Mg4 Mg 0.333 0.333 0.542
Mg5 Mg 0.334 0.334 0.800
Mg6 Mg 0.500 0.000 0.000
Mg7 Mg 0.666 0.666 0.200
Mg8 Mg 0.667 0.667 0.458
Mg9 Mg 0.995 0.995 0.847
V1 V 0.000 0.000 0.500
V2 V 0.168 0.661 0.337
V3 V 0.169 0.169 0.337
V4 V 0.332 0.332 0.165
V5 V 0.339 0.832 0.663
V6 V 0.500 0.500 0.000
V7 V 0.661 0.168 0.337
V8 V 0.668 0.668 0.835
V9 V 0.831 0.831 0.663
V10 V 0.832 0.339 0.663
O1 O 0.001 0.001 0.726
O2 O 0.026 0.486 0.253
O3 O 0.154 0.694 0.584
O4 O 0.155 0.155 0.584
O5 O 0.170 0.170 0.084
O6 O 0.170 0.669 0.081
O7 O 0.306 0.846 0.416
O8 O 0.331 0.830 0.919
O9 O 0.333 0.333 0.408
O10 O 0.338 0.338 0.930
O11 O 0.485 0.485 0.253
O12 O 0.486 0.026 0.253
O13 O 0.514 0.974 0.747
O14 O 0.515 0.515 0.747
O15 O 0.662 0.662 0.070
O16 O 0.667 0.667 0.592
O17 O 0.669 0.170 0.081
O18 O 0.694 0.154 0.584
O19 O 0.830 0.331 0.919
O20 O 0.830 0.830 0.916
O21 O 0.845 0.845 0.416
O22 O 0.846 0.306 0.416
O23 O 0.974 0.514 0.747
O24 O 0.999 0.999 0.274
```

Principal peaks in the range 10° ≤ 2θ ≤ 80°, by intensity:
2θ (°)	Rel. int.
41.97	100
18.07	72
34.78	67
42.22	51
61.85	49
60.25	47
34.56	40
33.93	38

***

Entry 5:
Starting from the PBE+U geometry in the Materials Project, the X-ray diffraction stick pattern of MgV2O6 was computed for Cu Ka.

Atomic structure:
```
data_MgV2O6
_chemical_formula_sum 'Mg4 V8 O24'
_cell_length_a 13.732
_cell_length_b 5.611
_cell_length_c 4.899
_cell_angle_alpha 90.00
_cell_angle_beta 90.00
_cell_angle_gamma 90.00
_symmetry_space_group_name_H-M 'P 1'
_symmetry_Int_Tables_number 1
loop_
_symmetry_equiv_pos_as_xyz
'x,y,z'
loop_
_atom_site_label
_atom_site_type_symbol
_atom_site_fract_x
_atom_site_fract_y
_atom_site_fract_z
Mg1 Mg 0.000 0.177 0.250
Mg2 Mg 0.000 0.823 0.750
Mg3 Mg 0.500 0.323 0.750
Mg4 Mg 0.500 0.677 0.250
V1 V 0.163 0.322 0.740
V2 V 0.163 0.678 0.240
V3 V 0.337 0.178 0.240
V4 V 0.337 0.822 0.740
V5 V 0.663 0.178 0.260
V6 V 0.663 0.822 0.760
V7 V 0.837 0.322 0.760
V8 V 0.837 0.678 0.260
O1 O 0.083 0.125 0.600
O2 O 0.083 0.875 0.100
O3 O 0.098 0.398 0.048
O4 O 0.098 0.602 0.548
O5 O 0.245 0.364 0.398
O6 O 0.245 0.636 0.898
O7 O 0.255 0.136 0.898
O8 O 0.255 0.864 0.398
O9 O 0.402 0.102 0.548
O10 O 0.402 0.898 0.048
O11 O 0.417 0.375 0.100
O12 O 0.417 0.625 0.600
O13 O 0.583 0.375 0.400
O14 O 0.583 0.625 0.900
O15 O 0.598 0.102 0.952
O16 O 0.598 0.898 0.452
O17 O 0.745 0.136 0.602
O18 O 0.745 0.864 0.102
O19 O 0.755 0.364 0.102
O20 O 0.755 0.636 0.602
O21 O 0.902 0.398 0.452
O22 O 0.902 0.602 0.952
O23 O 0.917 0.125 0.900
O24 O 0.917 0.875 0.400
```

Principal peaks in the range 10° ≤ 2θ ≤ 80°, by intensity:
2θ (°)	Rel. int.
31.13	100
25.11	32
55.07	29
66.26	23
42.04	21
54.91	19
52.88	15
24.99	14

***

Entry 6:
Starting from the PBE+U geometry in the Materials Project, the X-ray diffraction stick pattern of MgV2O6 was computed for Cu Ka.

Atomic structure:
```
data_MgV2O6
_chemical_formula_sum 'Mg1 V2 O6'
_cell_length_a 5.194
_cell_length_b 5.194
_cell_length_c 7.055
_cell_angle_alpha 105.13
_cell_angle_beta 105.13
_cell_angle_gamma 39.80
_symmetry_space_group_name_H-M 'P 1'
_symmetry_Int_Tables_number 1
loop_
_symmetry_equiv_pos_as_xyz
'x,y,z'
loop_
_atom_site_label
_atom_site_type_symbol
_atom_site_fract_x
_atom_site_fract_y
_atom_site_fract_z
Mg1 Mg 0.000 0.000 0.000
V1 V 0.221 0.221 0.677
V2 V 0.779 0.779 0.323
O1 O 0.076 0.076 0.760
O2 O 0.287 0.287 0.417
O3 O 0.367 0.367 0.877
O4 O 0.633 0.633 0.123
O5 O 0.713 0.713 0.583
O6 O 0.924 0.924 0.240
```

Principal peaks in the range 10° ≤ 2θ ≤ 80°, by intensity:
2θ (°)	Rel. int.
25.92	100
31.22	86
18.91	82
28.85	74
27.87	63
51.71	33
19.80	26
60.65	25

***

Entry 7:
Starting from the PBE+U geometry in the Materials Project, the X-ray diffraction stick pattern of MgV5O12 was computed for Cu Ka.

Atomic structure:
```
data_MgV5O12
_chemical_formula_sum 'Mg1 V5 O12'
_cell_length_a 5.082
_cell_length_b 5.127
_cell_length_c 9.185
_cell_angle_alpha 94.70
_cell_angle_beta 91.64
_cell_angle_gamma 113.47
_symmetry_space_group_name_H-M 'P 1'
_symmetry_Int_Tables_number 1
loop_
_symmetry_equiv_pos_as_xyz
'x,y,z'
loop_
_atom_site_label
_atom_site_type_symbol
_atom_site_fract_x
_atom_site_fract_y
_atom_site_fract_z
Mg1 Mg 0.000 0.000 0.000
V1 V 0.289 0.994 0.623
V2 V 0.378 0.448 0.836
V3 V 0.390 0.750 0.142
V4 V 0.764 0.393 0.156
V5 V 0.827 0.844 0.417
O1 O 0.061 0.735 0.246
O2 O 0.087 0.100 0.791
O3 O 0.098 0.430 0.027
O4 O 0.165 0.156 0.487
O5 O 0.322 0.708 0.755
O6 O 0.409 0.057 0.048
O7 O 0.537 0.552 0.272
O8 O 0.570 0.923 0.506
O9 O 0.591 0.337 0.726
O10 O 0.650 0.636 0.001
O11 O 0.783 0.093 0.233
O12 O 0.930 0.655 0.532
```

Principal peaks in the range 10° ≤ 2θ ≤ 80°, by intensity:
2θ (°)	Rel. int.
20.43	100
20.84	98
29.09	75
39.56	64
28.17	54
46.29	53
44.75	35
22.73	35